MgAl4Cu2O8: computed PXRD pattern (λ = 1.5418 Å (Cu Kα)), based on a structure optimized by DFT (PBE).
Intensities are scaled so that the largest is 100.

Most intense lines, 2θ = 10–90°, in order of rising 2θ:
d (Å)  Rel. int.
4.848  45
2.906  36
2.854  33
2.698  57
2.492  100
2.424  29
1.862  35
1.750  27
1.568  33
1.523  49

Cell and atoms:
```
data_MgAl4Cu2O8
_symmetry_space_group_name_H-M 'P 1'
_symmetry_Int_Tables_number 1
_symmetry_space_group_name_Hall 'P 1'
_cell_length_a 6.139
_cell_length_b 6.139
_cell_length_c 6.139
_cell_angle_alpha 124.59
_cell_angle_beta 123.50
_cell_angle_gamma 83.13
loop_
_atom_site_label
_atom_site_type_symbol
_atom_site_fract_x
_atom_site_fract_y
_atom_site_fract_z
Mg1 Mg 0.000 0.000 0.000
Al1 Al 0.414 0.671 0.743
Al2 Al 0.463 0.204 0.742
Al3 Al 0.463 0.721 0.258
Al4 Al 0.928 0.671 0.257
Cu1 Cu 0.258 0.258 0.000
Cu2 Cu 0.813 0.313 0.500
O1 O 0.150 0.434 0.284
O2 O 0.150 0.867 0.716
O3 O 0.192 0.900 0.292
O4 O 0.240 0.455 0.785
O5 O 0.607 0.900 0.708
O6 O 0.663 0.441 0.778
O7 O 0.663 0.886 0.222
O8 O 0.669 0.455 0.215
```